Record 1
Calculated powder diffractogram
Compound: Ta4CdInN2
Radiation: Cu Ka
Structure: the PBE geometry in OQMD
Neutral-atom scattering factors, no anomalous dispersion.

Structural model:
Lattice parameters (Å, degrees): 3.125 3.125 14.548 90.00 90.00 120.00
Element x y z (fractional)
Ta: 0.000 0.000 0.167
Ta: 0.000 0.000 0.833
Ta: 0.667 0.333 0.332
Ta: 0.667 0.333 0.668
Cd: 0.000 0.000 0.500
In: 0.667 0.333 0.000
N: 0.333 0.667 0.251
N: 0.333 0.667 0.749

The 10 most intense peaks (2θ = 5–70°), low angle first:
2θ (°)	intensity
12.17	97
33.10	216
33.69	23
37.08	226
38.08	1000
45.79	13
50.54	163
59.13	193
67.49	185
69.47	26



Record 2
Calculated powder diffractogram
Compound: Pr2HoS3
Radiation: Cu Ka
Structure: the PBE geometry in OQMD
Neutral-atom scattering factors, no anomalous dispersion.

Structural model:
Lattice parameters (Å, degrees): 4.004 4.004 9.981 90.00 90.00 120.00
Element x y z (fractional)
Pr: 0.333 0.667 0.171
Pr: 0.667 0.333 0.829
Ho: 0.000 0.000 0.500
S: 0.000 0.000 0.000
S: 0.333 0.667 0.651
S: 0.667 0.333 0.349

The 10 most intense peaks (2θ = 5–70°), low angle first:
2θ (°)	intensity
26.80	200
27.22	571
31.41	1000
44.74	362
45.29	357
52.92	105
53.41	191
53.65	94
56.16	186
65.56	114



Record 3
Calculated powder diffractogram
Compound: HoTlZnSe3
Radiation: Cu Ka
Structure: the PBE geometry in OQMD
Neutral-atom scattering factors, no anomalous dispersion.

Structural model:
Lattice parameters (Å, degrees): 8.363 4.114 10.615 90.00 109.37 90.00
Element x y z (fractional)
Ho: 0.189 0.250 0.139
Ho: 0.811 0.750 0.861
Tl: 0.231 0.750 0.713
Tl: 0.769 0.250 0.287
Zn: 0.424 0.750 0.391
Zn: 0.576 0.250 0.609
Se: 0.049 0.250 0.859
Se: 0.276 0.250 0.439
Se: 0.435 0.750 0.163
Se: 0.565 0.250 0.837
Se: 0.724 0.750 0.561
Se: 0.951 0.750 0.141

The 10 most intense peaks (2θ = 5–70°), low angle first:
2θ (°)	intensity
17.71	210
23.38	187
25.29	184
27.27	180
27.97	206
30.52	1000
32.40	198
33.50	270
34.76	224
44.02	273



Record 4
Calculated powder diffractogram
Compound: K6Na14Tl18Zn
Radiation: Cu Ka
Structure: the PBE geometry in OQMD
Neutral-atom scattering factors, no anomalous dispersion.

Structural model:
Lattice parameters (Å, degrees): 10.727 10.727 10.727 90.00 90.00 90.00
Element x y z (fractional)
K: 0.000 0.189 0.500
K: 0.000 0.811 0.500
K: 0.189 0.500 0.000
K: 0.500 0.000 0.189
K: 0.500 0.000 0.811
K: 0.811 0.500 0.000
Na: 0.000 0.500 0.332
Na: 0.000 0.500 0.668
Na: 0.281 0.281 0.281
Na: 0.281 0.281 0.719
Na: 0.281 0.719 0.281
Na: 0.281 0.719 0.719
Na: 0.332 0.000 0.500
Na: 0.500 0.332 0.000
Na: 0.500 0.668 0.000
Na: 0.668 0.000 0.500
Na: 0.719 0.281 0.281
Na: 0.719 0.281 0.719
Na: 0.719 0.719 0.281
Na: 0.719 0.719 0.719
Tl: 0.000 0.254 0.154
Tl: 0.000 0.254 0.846
Tl: 0.000 0.746 0.154
Tl: 0.000 0.746 0.846
Tl: 0.154 0.000 0.254
Tl: 0.154 0.000 0.746
Tl: 0.254 0.154 0.000
Tl: 0.254 0.846 0.000
Tl: 0.277 0.500 0.500
Tl: 0.500 0.277 0.500
Tl: 0.500 0.500 0.277
Tl: 0.500 0.500 0.723
Tl: 0.500 0.723 0.500
Tl: 0.723 0.500 0.500
Tl: 0.746 0.154 0.000
Tl: 0.746 0.846 0.000
Tl: 0.846 0.000 0.254
Tl: 0.846 0.000 0.746
Zn: 0.000 0.000 0.000

The 10 most intense peaks (2θ = 5–70°), low angle first:
2θ (°)	intensity
11.67	1000
18.50	263
23.46	233
30.04	412
31.20	350
33.41	353
34.47	997
35.51	233
37.50	303
54.80	258



Record 5
Calculated powder diffractogram
Compound: TaTlIn
Radiation: Cu Ka
Structure: the PBE geometry in OQMD
Neutral-atom scattering factors, no anomalous dispersion.

Structural model:
Lattice parameters (Å, degrees): 4.788 4.788 4.788 60.00 60.00 60.00
Element x y z (fractional)
Ta: 0.000 0.000 0.000
Tl: 0.250 0.250 0.250
In: 0.750 0.750 0.750

The 9 most intense peaks (2θ = 5–70°), low angle first:
2θ (°)	intensity
22.75	376
26.33	99
37.57	1000
44.37	200
46.46	28
54.19	175
59.51	86
61.22	37
67.81	356



Record 6
Calculated powder diffractogram
Compound: Cu8Ag
Radiation: Cu Ka
Structure: the PBE geometry in OQMD
Neutral-atom scattering factors, no anomalous dispersion.

Structural model:
Lattice parameters (Å, degrees): 4.511 4.511 6.368 90.00 90.00 120.00
Element x y z (fractional)
Cu: 0.000 0.339 0.161
Cu: 0.000 0.661 0.839
Cu: 0.333 0.667 0.500
Cu: 0.339 0.000 0.161
Cu: 0.339 0.339 0.839
Cu: 0.661 0.000 0.839
Cu: 0.661 0.661 0.161
Cu: 0.667 0.333 0.500
Ag: 0.000 0.000 0.500

The 9 most intense peaks (2θ = 5–70°), low angle first:
2θ (°)	intensity
13.91	9
22.76	11
26.77	27
28.02	9
36.40	12
42.54	1000
48.80	5
49.52	466
64.84	7



Record 7
Calculated powder diffractogram
Compound: Sr4TaSn2
Radiation: Cu Ka
Structure: the PBE geometry in OQMD
Neutral-atom scattering factors, no anomalous dispersion.

Structural model:
Lattice parameters (Å, degrees): 3.677 3.677 20.717 90.24 90.24 60.04
Element x y z (fractional)
Sr: 0.000 0.000 0.000
Sr: 0.001 0.001 0.533
Sr: 0.335 0.335 0.709
Sr: 0.336 0.336 0.255
Ta: 0.333 0.333 0.409
Sn: 0.003 0.003 0.841
Sn: 0.668 0.668 0.128

The 10 most intense peaks (2θ = 5–70°), low angle first:
2θ (°)	intensity
12.82	342
28.35	1000
29.34	714
30.20	615
30.90	401
33.02	744
38.40	641
38.55	352
49.58	595
59.09	370



Record 8
Calculated powder diffractogram
Compound: Dy2Y3Lu3
Radiation: Cu Ka
Structure: the PBE geometry in OQMD
Neutral-atom scattering factors, no anomalous dispersion.

Structural model:
Lattice parameters (Å, degrees): 5.591 7.174 7.174 59.98 90.00 90.00
Element x y z (fractional)
Dy: 0.000 0.000 0.000
Dy: 0.500 0.333 0.333
Y: 0.000 0.500 0.999
Y: 0.000 0.999 0.500
Y: 0.500 0.833 0.833
Lu: 0.000 0.500 0.500
Lu: 0.500 0.334 0.833
Lu: 0.500 0.833 0.334

The 10 most intense peaks (2θ = 5–70°), low angle first:
2θ (°)	intensity
14.26	71
28.74	243
32.02	240
32.99	1000
43.56	157
50.92	196
57.68	202
61.42	222
62.02	162
69.20	40



Record 9
Calculated powder diffractogram
Compound: LiZr2Be
Radiation: Cu Ka
Structure: the PBE geometry in OQMD
Neutral-atom scattering factors, no anomalous dispersion.

Structural model:
Lattice parameters (Å, degrees): 4.705 4.705 4.705 60.00 60.00 60.00
Element x y z (fractional)
Li: 0.000 0.000 0.000
Zr: 0.500 0.500 0.500
Zr: 0.750 0.750 0.750
Be: 0.250 0.250 0.250

The 6 most intense peaks (2θ = 5–70°), low angle first:
2θ (°)	intensity
23.15	990
38.26	1000
45.20	486
55.22	167
60.67	196
69.17	332



Record 10
Calculated powder diffractogram
Compound: OsBr4Cl
Radiation: Cu Ka
Structure: the PBE geometry in OQMD
Neutral-atom scattering factors, no anomalous dispersion.

Structural model:
Lattice parameters (Å, degrees): 6.712 7.228 9.774 109.66 90.82 115.94
Element x y z (fractional)
Os: 0.098 0.205 0.209
Os: 0.902 0.795 0.791
Br: 0.073 0.817 0.578
Br: 0.235 0.178 0.958
Br: 0.298 0.010 0.249
Br: 0.429 0.562 0.328
Br: 0.571 0.438 0.672
Br: 0.702 0.990 0.751
Br: 0.765 0.822 0.042
Br: 0.927 0.183 0.422
Cl: 0.100 0.630 0.846
Cl: 0.900 0.370 0.154

The 10 most intense peaks (2θ = 5–70°), low angle first:
2θ (°)	intensity
14.25	764
14.95	357
15.29	588
16.25	396
16.62	436
30.44	524
30.64	1000
39.71	293
40.16	431
52.53	297



Record 11
Calculated powder diffractogram
Compound: Fe15Co
Radiation: Cu Ka
Structure: the PBE geometry in OQMD
Neutral-atom scattering factors, no anomalous dispersion.

Structural model:
Lattice parameters (Å, degrees): 5.658 5.658 5.658 90.00 90.00 90.00
Element x y z (fractional)
Fe: 0.000 0.000 0.000
Fe: 0.000 0.000 0.500
Fe: 0.000 0.500 0.000
Fe: 0.000 0.500 0.500
Fe: 0.250 0.250 0.250
Fe: 0.250 0.250 0.750
Fe: 0.250 0.750 0.250
Fe: 0.250 0.750 0.750
Fe: 0.500 0.000 0.000
Fe: 0.500 0.000 0.500
Fe: 0.500 0.500 0.000
Fe: 0.750 0.250 0.250
Fe: 0.750 0.250 0.750
Fe: 0.750 0.750 0.250
Fe: 0.750 0.750 0.750
Co: 0.500 0.500 0.500

The 2 most intense peaks (2θ = 5–70°), low angle first:
2θ (°)	intensity
45.33	1000
66.05	146



Record 12
Calculated powder diffractogram
Compound: Sm3Os
Radiation: Cu Ka
Structure: the PBE geometry in OQMD
Neutral-atom scattering factors, no anomalous dispersion.

Structural model:
Lattice parameters (Å, degrees): 7.488 9.385 6.432 90.00 90.00 90.00
Element x y z (fractional)
Sm: 0.040 0.250 0.134
Sm: 0.175 0.065 0.667
Sm: 0.175 0.435 0.667
Sm: 0.325 0.565 0.167
Sm: 0.325 0.935 0.167
Sm: 0.460 0.750 0.634
Sm: 0.540 0.250 0.366
Sm: 0.675 0.065 0.833
Sm: 0.675 0.435 0.833
Sm: 0.825 0.565 0.333
Sm: 0.825 0.935 0.333
Sm: 0.960 0.750 0.866
Os: 0.116 0.750 0.453
Os: 0.384 0.250 0.953
Os: 0.616 0.750 0.047
Os: 0.884 0.250 0.547

The 10 most intense peaks (2θ = 5–70°), low angle first:
2θ (°)	intensity
29.19	249
30.55	354
31.77	1000
33.64	465
34.04	509
37.46	319
38.11	234
38.70	261
39.92	228
48.22	243